Entry 1:
This entry pairs a crystal structure of Mg3Si2O9 with its simulated X-ray powder pattern. Radiation: CuKα. Structure: a structure optimized by DFT (PBE).
Lines closer than 0.1° are merged.

```
data_Mg3Si2O9
_cell_length_a 9.3940
_cell_length_b 5.4052
_cell_length_c 15.0062
_cell_angle_alpha 90.00
_cell_angle_beta 90.00
_cell_angle_gamma 90.00
_space_group_name_H-M_alt 'C m c 21'
_space_group_IT_number 36
loop_
_space_group_symop_operation_xyz
'x,y,z'
'-x,-y,z+1/2'
'-x,y,z'
'x,-y,z+1/2'
'x+1/2,y+1/2,z'
'-x+1/2,-y+1/2,z+1/2'
'-x+1/2,y+1/2,z'
'x+1/2,-y+1/2,z+1/2'
loop_
_atom_site_label
_atom_site_type_symbol
_atom_site_fract_x
_atom_site_fract_y
_atom_site_fract_z
Mg1 Mg 0.0000 0.1347 0.0000
Mg2 Mg 0.1783 0.3998 0.4981
Si1 Si 0.1666 0.2826 0.8104
O1 O 0.0000 0.2208 0.4476
O2 O 0.0000 0.2804 0.7765
O3 O 0.0000 0.4748 0.0595
O4 O 0.1539 0.0689 0.5595
O5 O 0.1671 0.2805 0.9204
O6 O 0.2483 0.4662 0.2751
```

Largest 6 diffraction maxima, in order of rising 2θ, 2θ from 10° to 90°:
- 7.503 Å, 2θ = 11.79°, I 100, hkl 0 0 2
- 4.472 Å, 2θ = 19.85°, I 41, hkl 1 1 1
- 3.981 Å, 2θ = 22.33°, I 18, hkl 2 0 2
- 3.752 Å, 2θ = 23.72°, I 57, hkl 0 0 4
- 2.545 Å, 2θ = 35.27°, I 27, hkl 0 2 2
- 2.381 Å, 2θ = 37.78°, I 38, hkl 3 1 3

Entry 2:
This entry pairs a crystal structure of Mg2SiO4 with its simulated X-ray powder pattern. Radiation: CuKα. Structure: a structure optimized by DFT (PBE).
Lines closer than 0.1° are merged.

```
data_Mg2SiO4
_cell_length_a 5.7636
_cell_length_b 11.5609
_cell_length_c 8.3563
_cell_angle_alpha 90.00
_cell_angle_beta 90.00
_cell_angle_gamma 90.00
_space_group_name_H-M_alt 'I m m a'
_space_group_IT_number 74
_space_group_name_Hall '-I 2b 2'
loop_
_atom_site_label
_atom_site_type_symbol
_atom_site_fract_x
_atom_site_fract_y
_atom_site_fract_z
Mg1 Mg 0.0000 0.0000 0.0000
Mg2 Mg 0.0000 0.2500 0.0302
Mg3 Mg 0.2500 0.1276 0.7500
Si1 Si 0.0000 0.1197 0.3835
O1 O 0.0000 0.0101 0.2555
O2 O 0.0000 0.2500 0.2837
O3 O 0.0000 0.2500 0.7840
O4 O 0.2388 0.1227 0.4927
```

Largest 6 diffraction maxima, in order of rising 2θ, 2θ from 10° to 90°:
- 3.247 Å, 2θ = 27.47°, I 40, hkl 1 1 2
- 2.708 Å, 2θ = 33.08°, I 45, hkl 0 1 3
- 2.652 Å, 2θ = 33.80°, I 52, hkl 2 1 1
- 2.468 Å, 2θ = 36.40°, I 86, hkl 1 4 1
- 2.041 Å, 2θ = 44.39°, I 73, hkl 2 4 0
- 1.460 Å, 2θ = 63.75°, I 100, hkl 2 4 4

Entry 3:
This entry pairs a crystal structure of MgSiO3 with its simulated X-ray powder pattern. Radiation: CuKα. Structure: a structure optimized by DFT (PBE).
Lines closer than 0.1° are merged.

```
data_MgSiO3
_cell_length_a 9.3451
_cell_length_b 9.0639
_cell_length_c 4.9906
_cell_angle_alpha 90.00
_cell_angle_beta 90.00
_cell_angle_gamma 90.00
_space_group_name_H-M_alt 'P b c n'
_space_group_IT_number 60
loop_
_space_group_symop_operation_xyz
'x,y,z'
'-x,-y,-z'
'-x+1/2,-y+1/2,z+1/2'
'x+1/2,y+1/2,-z+1/2'
'x+1/2,-y+1/2,-z'
'-x+1/2,y+1/2,z'
'-x,y,-z+1/2'
'x,-y,z+1/2'
loop_
_atom_site_label
_atom_site_type_symbol
_atom_site_fract_x
_atom_site_fract_y
_atom_site_fract_z
Mg1 Mg 0.0000 0.0974 0.2500
Mg2 Mg 0.0000 0.2725 0.7500
Si1 Si 0.2061 0.4085 0.1706
O1 O 0.1213 0.0927 0.6120
O2 O 0.1207 0.2641 0.0748
O3 O 0.1504 0.4471 0.4833
```

Largest 6 diffraction maxima, in order of rising 2θ, 2θ from 10° to 90°:
- 3.253 Å, 2θ = 27.42°, I 35, hkl 2 2 0
- 2.946 Å, 2θ = 30.34°, I 57, hkl 3 1 0
- 2.725 Å, 2θ = 32.86°, I 100, hkl 2 2 1
- 2.411 Å, 2θ = 37.30°, I 47, hkl 1 0 2
- 2.262 Å, 2θ = 39.86°, I 48, hkl 2 3 1
- 1.515 Å, 2θ = 61.20°, I 45, hkl 5 3 1

Entry 4:
This entry pairs a crystal structure of MgSi6O12 with its simulated X-ray powder pattern. Radiation: CuKα. Structure: a structure optimized by DFT (PBE).
Lines closer than 0.1° are merged.

```
data_MgSi6O12
_cell_length_a 5.3379
_cell_length_b 7.2724
_cell_length_c 7.5082
_cell_angle_alpha 84.59
_cell_angle_beta 84.73
_cell_angle_gamma 74.84
_space_group_name_H-M_alt 'P -1'
_space_group_IT_number 2
loop_
_space_group_symop_operation_xyz
'x,y,z'
'-x,-y,-z'
loop_
_atom_site_label
_atom_site_type_symbol
_atom_site_fract_x
_atom_site_fract_y
_atom_site_fract_z
Mg1 Mg 0.0000 0.0000 0.0000
Si1 Si 0.0624 0.7183 0.3025
Si2 Si 0.0912 0.2828 0.2820
Si3 Si 0.4912 0.9589 0.1644
O1 O 0.0515 0.7360 0.5147
O2 O 0.0529 0.7803 0.8669
O3 O 0.1242 0.5019 0.2499
O4 O 0.2096 0.1514 0.7848
O5 O 0.2844 0.8210 0.1978
O6 O 0.3922 0.1402 0.2885
```

Largest 6 diffraction maxima, in order of rising 2θ, 2θ from 10° to 90°:
- 7.000 Å, 2θ = 12.64°, I 74, hkl 0 1 0
- 5.300 Å, 2θ = 16.73°, I 40, hkl 0 1 1
- 5.139 Å, 2θ = 17.25°, I 91, hkl 1 0 0
- 4.377 Å, 2θ = 20.29°, I 54, hkl 1 0 1
- 3.726 Å, 2θ = 23.88°, I 100, hkl 0 0 2
- 3.313 Å, 2θ = 26.91°, I 46, hkl 1 2 0

Entry 5:
This entry pairs a crystal structure of Mg3Si2O9 with its simulated X-ray powder pattern. Radiation: CuKα. Structure: a structure optimized by DFT (PBE).
Lines closer than 0.1° are merged.

```
data_Mg3Si2O9
_cell_length_a 5.4071
_cell_length_b 5.4071
_cell_length_c 14.2101
_cell_angle_alpha 90.00
_cell_angle_beta 90.00
_cell_angle_gamma 120.00
_space_group_name_H-M_alt 'P 63'
_space_group_IT_number 173
loop_
_space_group_symop_operation_xyz
'x,y,z'
'x-y,x,z+1/2'
'-y,x-y,z'
'-x,-y,z+1/2'
'-x+y,-x,z'
'y,-x+y,z+1/2'
loop_
_atom_site_label
_atom_site_type_symbol
_atom_site_fract_x
_atom_site_fract_y
_atom_site_fract_z
Mg1 Mg 0.0237 0.6906 0.0000
Si1 Si 0.0000 0.0000 0.1998
Si2 Si 0.3333 0.6667 0.2004
O1 O 0.0000 0.0000 0.0836
O2 O 0.0273 0.6660 0.4357
O3 O 0.1449 0.3324 0.2370
O4 O 0.3333 0.6667 0.0842
O5 O 0.3333 0.6667 0.5533
```

Largest 6 diffraction maxima, in order of rising 2θ, 2θ from 10° to 90°:
- 7.105 Å, 2θ = 12.46°, I 94, hkl 0 0 2
- 4.447 Å, 2θ = 19.96°, I 88, hkl 1 0 1
- 3.553 Å, 2θ = 25.07°, I 92, hkl 0 0 4
- 2.527 Å, 2θ = 35.53°, I 100, hkl 1 1 2
- 2.348 Å, 2θ = 38.33°, I 38, hkl 1 1 3
- 1.561 Å, 2θ = 59.19°, I 39, hkl 3 0 0